# PmCr2AgO8
Theoretical PXRD pattern, copper Kα. Input: the GGA+U geometry in Alexandria.
Intensities are scaled so that the largest is 100.

Most intense lines, 2θ from 10° to 90°, sorted by position:
18.3 deg, I = 21
24.3 deg, I = 100
32.7 deg, I = 71
34.6 deg, I = 20
48.3 deg, I = 55
49.7 deg, I = 15
60.8 deg, I = 15
68.4 deg, I = 13
71.9 deg, I = 13
84.1 deg, I = 13

Cell and atoms:
Cell lengths 6.109, 6.109, 6.109 Å; angles 106.23, 106.23, 116.18 degrees
Element x y z (fractional)
Pm  0.000  0.000  0.000
Cr  0.500  0.500  0.000
Cr  0.750  0.250  0.500
Ag  0.250  0.750  0.500
O  0.336  0.159  0.823
O  0.336  0.512  0.177
O  0.416  0.102  0.314
O  0.488  0.664  0.823
O  0.788  0.102  0.686
O  0.841  0.664  0.177
O  0.898  0.212  0.314
O  0.898  0.584  0.686